No. 1
This entry pairs a crystal structure of Cu3P2O8 with its simulated powder X-ray diffraction pattern. Radiation: Cu Kα (λ = 1.5418 Å). Structure: a cell relaxed with PBE.
No peak broadening, texture or thermal motion is included.

Most intense lines, 2θ = 10–80°, most intense first:
- 27.88 deg, 3.201 Å, intensity 100
- 30.13 deg, 2.966 Å, intensity 85
- 31.42 deg, 2.847 Å, intensity 77
- 33.14 deg, 2.703 Å, intensity 73
- 20.87 deg, 4.256 Å, intensity 53
- 23.84 deg, 3.732 Å, intensity 42
- 42.46 deg, 2.129 Å, intensity 32
- 50.16 deg, 1.819 Å, intensity 27
- 33.31 deg, 2.690 Å, intensity 27
- 37.13 deg, 2.421 Å, intensity 25
- 62.14 deg, 1.494 Å, intensity 24
- 54.34 deg, 1.688 Å, intensity 24

Atomic structure:
a b c (Å): 4.9092 5.6109 6.2504
angles (deg): 73.47 87.18 67.61
Space group P-1 (No. 2)
Inequivalent atoms, fractional coordinates:
Cu 0.0000 0.0000 0.0000 [1 per cell]
Cu 0.2672 0.2101 0.3210 [2 per cell]
P 0.3570 0.3323 0.7842 [2 per cell]
O 0.1545 0.6192 0.6598 [2 per cell]
O 0.2200 0.2205 0.0065 [2 per cell]
O 0.3366 0.6750 0.1609 [2 per cell]
O 0.3773 0.1361 0.6402 [2 per cell]

No. 2
This entry pairs a crystal structure of Cu3P4O14 with its simulated powder X-ray diffraction pattern. Radiation: Cu Kα (λ = 1.5418 Å). Structure: a cell relaxed with PBE.
No peak broadening, texture or thermal motion is included.

Most intense lines, 2θ = 10–80°, most intense first:
- 13.47 deg, 6.572 Å, intensity 100
- 17.27 deg, 5.136 Å, intensity 70
- 29.04 deg, 3.074 Å, intensity 67
- 29.84 deg, 2.994 Å, intensity 47
- 28.63 deg, 3.118 Å, intensity 45
- 22.59 deg, 3.936 Å, intensity 42
- 33.15 deg, 2.702 Å, intensity 40
- 14.43 deg, 6.137 Å, intensity 36
- 33.87 deg, 2.647 Å, intensity 34
- 29.67 deg, 3.011 Å, intensity 24
- 19.99 deg, 4.441 Å, intensity 23
- 27.89 deg, 3.199 Å, intensity 21

Atomic structure:
a b c (Å): 6.9963 8.5134 9.4279
angles (deg): 90.00 110.06 90.00
Space group P2_1/c (No. 14)
Inequivalent atoms, fractional coordinates:
Cu 0.0000 0.0000 0.0000 [2 per cell]
Cu 0.1927 0.1291 0.5167 [4 per cell]
P 0.0868 0.7287 0.7996 [4 per cell]
P 0.3954 0.0117 0.2942 [4 per cell]
O 0.0016 0.1073 0.6184 [4 per cell]
O 0.0169 0.2271 0.8763 [4 per cell]
O 0.1134 0.6080 0.3661 [4 per cell]
O 0.2855 0.0679 0.1330 [4 per cell]
O 0.3075 0.6583 0.8178 [4 per cell]
O 0.3743 0.1296 0.4130 [4 per cell]
O 0.3768 0.0152 0.6792 [4 per cell]

Repeat the first record exactly.
This entry pairs a crystal structure of Cu3P2O8 with its simulated powder X-ray diffraction pattern. Radiation: Cu Kα (λ = 1.5418 Å). Structure: a cell relaxed with PBE.
No peak broadening, texture or thermal motion is included.

Most intense lines, 2θ = 10–80°, most intense first:
- 27.88 deg, 3.201 Å, intensity 100
- 30.13 deg, 2.966 Å, intensity 85
- 31.42 deg, 2.847 Å, intensity 77
- 33.14 deg, 2.703 Å, intensity 73
- 20.87 deg, 4.256 Å, intensity 53
- 23.84 deg, 3.732 Å, intensity 42
- 42.46 deg, 2.129 Å, intensity 32
- 50.16 deg, 1.819 Å, intensity 27
- 33.31 deg, 2.690 Å, intensity 27
- 37.13 deg, 2.421 Å, intensity 25
- 62.14 deg, 1.494 Å, intensity 24
- 54.34 deg, 1.688 Å, intensity 24

Atomic structure:
a b c (Å): 4.9092 5.6109 6.2504
angles (deg): 73.47 87.18 67.61
Space group P-1 (No. 2)
Inequivalent atoms, fractional coordinates:
Cu 0.0000 0.0000 0.0000 [1 per cell]
Cu 0.2672 0.2101 0.3210 [2 per cell]
P 0.3570 0.3323 0.7842 [2 per cell]
O 0.1545 0.6192 0.6598 [2 per cell]
O 0.2200 0.2205 0.0065 [2 per cell]
O 0.3366 0.6750 0.1609 [2 per cell]
O 0.3773 0.1361 0.6402 [2 per cell]